This entry pairs a crystal structure of Li2MnGeO4 with its computed X-ray powder pattern. Radiation: λ = 1.5418 Å (Cu Kα). Structure: a cell relaxed with PBE+U.
Neutral-atom scattering factors, no anomalous dispersion.

Largest 10 diffraction maxima, low angle first, 2θ from 10° to 80°:
(hkl)  d (Å)  2θ (°)  I/Imax
0 1 0  5.561  15.94  33.8
0 1 1  3.781  23.53  100.0
2 0 0  3.260  27.36  42.6
2 1 0  2.812  31.82  36.1
0 2 0  2.781  32.19  22.9
0 0 2  2.578  34.79  37.0
2 1 1  2.469  36.39  45.0
2 2 1  1.957  46.39  23.3
2 3 0  1.611  57.16  23.5
2 1 3  1.467  63.42  22.9

Crystal structure
```
Li2MnGeO4
1.0
6.519 0.000 0.000
0.000 5.561 0.000
0.000 0.000 5.157
Li Mn Ge O
4 2 2 8
Cartesian
1.627 0.935 0.000
1.632 4.627 2.578
4.892 0.935 0.000
4.886 4.627 2.578
0.000 1.838 2.566
3.259 3.723 5.145
0.000 3.771 0.026
3.259 1.791 2.604
0.000 2.056 4.661
0.000 3.799 1.810
1.457 4.603 4.576
1.802 0.959 1.998
3.259 1.763 4.388
3.259 3.506 2.083
4.716 0.959 1.998
5.061 4.603 4.576
```